(1)
For BaInFe4O7, a DFT-relaxed cell (PBE+U, the Materials Project) gives the computed powder diffractogram in this record (Cu Kα (λ = 1.5418 Å)).
Intensities are scaled so that the largest is 100.

Cell and atoms:
Lattice parameters (Å, degrees): 8.9785 8.9785 8.9785 90.00 90.00 90.00
Space group F-43m (No. 216)
Asymmetric unit:
Ba 0.0000 0.0000 0.0000
In 0.2500 0.2500 0.7500
Fe 0.1280 0.1280 0.3720
O 0.0000 0.0000 0.5000
O 0.0058 0.2500 0.7500

Largest 10 diffraction maxima, low angle first, 15° ≤ 2θ ≤ 90°:
hkl 2 2 0, 2θ 28.11, I = 52
hkl 3 1 1, 2θ 33.09, I = 100
hkl 2 2 2, 2θ 34.61, I = 27
hkl 4 2 2, 2θ 49.75, I = 21
hkl 5 1 1, 2θ 53.00, I = 35
hkl 4 4 0, 2θ 58.12, I = 40
hkl 6 2 0, 2θ 65.78, I = 9
hkl 5 3 3, 2θ 68.53, I = 11
hkl 6 4 2, 2θ 79.96, I = 11
hkl 5 5 3, 2θ 82.53, I = 20

(2)
For Li2VC2O6, a DFT-relaxed cell (PBE+U, the Materials Project) gives the computed powder diffractogram in this record (Cu Kα (λ = 1.5418 Å)).
Intensities are scaled so that the largest is 100.

Cell and atoms:
Lattice parameters (Å, degrees): 9.4515 12.7224 9.0434 90.00 118.03 90.00
Space group Cc (No. 9)
Asymmetric unit:
Li 0.0000 0.0677 0.0000
Li 0.0721 0.4127 0.4520
Li 0.3518 0.2567 0.8008
Li 0.3569 0.2347 0.2884
V 0.1881 0.1284 0.4310
V 0.1899 0.3726 0.9345
C 0.0462 0.2993 0.1623
C 0.0521 0.1990 0.6668
C 0.3302 0.0474 0.1960
C 0.3329 0.4485 0.6937
O 0.0550 0.2802 0.3104
O 0.0649 0.2272 0.8110
O 0.1728 0.3317 0.1573
O 0.1767 0.1664 0.6568
O 0.2106 0.0978 0.2027
O 0.2195 0.3991 0.7087
O 0.3051 0.4740 0.5424
O 0.3112 0.0082 0.0584
O 0.4131 0.2195 0.5290
O 0.4148 0.2923 0.0334
O 0.4671 0.0427 0.3315
O 0.4691 0.4686 0.8214

Largest 10 diffraction maxima, low angle first, 15° ≤ 2θ ≤ 90°:
hkl 0 2 1, 2θ 17.83, I = 100
hkl 2 0 -2, 2θ 22.46, I = 18
hkl 2 2 0, 2θ 25.54, I = 17
hkl 2 2 -2, 2θ 26.52, I = 22
hkl 0 4 1, 2θ 30.25, I = 42
hkl 2 2 1, 2θ 31.78, I = 30
hkl 2 2 -3, 2θ 33.38, I = 22
hkl 2 4 0, 2θ 35.49, I = 41
hkl 2 0 -4, 2θ 39.88, I = 24
hkl 2 6 -1, 2θ 46.98, I = 20

(3)
For Ba2NdMoO6, a DFT-relaxed cell (PBE+U, the Materials Project) gives the computed powder diffractogram in this record (Cu Kα (λ = 1.5418 Å)).
Intensities are scaled so that the largest is 100.

Cell and atoms:
Lattice parameters (Å, degrees): 8.6613 8.6613 8.6613 90.00 90.00 90.00
Space group Fm-3m (No. 225)
Asymmetric unit:
Ba 0.2500 0.2500 0.2500
Nd 0.0000 0.0000 0.0000
Mo 0.0000 0.0000 0.5000
O 0.0000 0.0000 0.2690

Largest 10 diffraction maxima, low angle first, 15° ≤ 2θ ≤ 90°:
hkl 2 2 0, 2θ 29.16, I = 100
hkl 3 1 1, 2θ 34.34, I = 1
hkl 2 2 2, 2θ 35.92, I = 2
hkl 4 0 0, 2θ 41.71, I = 30
hkl 3 3 1, 2θ 45.66, I = 1
hkl 4 2 2, 2θ 51.70, I = 40
hkl 4 4 0, 2θ 60.46, I = 19
hkl 6 2 0, 2θ 68.52, I = 18
hkl 4 4 4, 2θ 76.15, I = 6
hkl 6 4 2, 2θ 83.53, I = 22

(4)
For Eu2DyMnO6, a DFT-relaxed cell (PBE+U, the Materials Project) gives the computed powder diffractogram in this record (Cu Kα (λ = 1.5418 Å)).
Intensities are scaled so that the largest is 100.

Cell and atoms:
Lattice parameters (Å, degrees): 8.1324 8.1324 8.1324 90.00 90.00 90.00
Space group Fm-3m (No. 225)
Asymmetric unit:
Eu 0.2500 0.2500 0.2500
Dy 0.0000 0.0000 0.0000
Mn 0.0000 0.0000 0.5000
O 0.0000 0.0000 0.2667

Largest 10 diffraction maxima, low angle first, 15° ≤ 2θ ≤ 90°:
hkl 1 1 1, 2θ 18.90, I = 8
hkl 2 2 0, 2θ 31.11, I = 100
hkl 3 1 1, 2θ 36.65, I = 6
hkl 2 2 2, 2θ 38.34, I = 5
hkl 4 0 0, 2θ 44.57, I = 29
hkl 3 3 1, 2θ 48.81, I = 4
hkl 4 2 2, 2θ 55.34, I = 39
hkl 4 4 0, 2θ 64.86, I = 18
hkl 6 2 0, 2θ 73.67, I = 17
hkl 4 4 4, 2θ 82.11, I = 6

(5)
For BaMgCoF7, a DFT-relaxed cell (PBE+U, the Materials Project) gives the computed powder diffractogram in this record (Cu Kα (λ = 1.5418 Å)).
Intensities are scaled so that the largest is 100.

Cell and atoms:
Lattice parameters (Å, degrees): 5.6614 9.9285 9.6024 90.00 93.19 90.00
Space group P2_1/c (No. 14)
Asymmetric unit:
Ba 0.2336 0.1842 0.9999
Mg 0.1964 0.6037 0.8098
Co 0.3064 0.6115 0.1891
F 0.0273 0.7139 0.2506
F 0.1168 0.5413 0.6237
F 0.1277 0.0493 0.6305
F 0.2422 0.6883 0.0063
F 0.3855 0.5446 0.3639
F 0.3865 0.0531 0.3743
F 0.4742 0.7187 0.7494

Largest 10 diffraction maxima, low angle first, 15° ≤ 2θ ≤ 90°:
hkl 1 2 -1, 2θ 25.31, I = 100
hkl 1 1 2, 2θ 26.60, I = 55
hkl 0 1 3, 2θ 29.36, I = 19
hkl 2 0 0, 2θ 31.66, I = 20
hkl 0 3 3, 2θ 39.19, I = 17
hkl 2 2 -2, 2θ 40.45, I = 27
hkl 1 4 1, 2θ 41.02, I = 41
hkl 0 2 4, 2θ 41.85, I = 25
hkl 3 2 -1, 2θ 52.31, I = 24
hkl 1 2 5, 2θ 54.61, I = 17